No. 1
For Ce2FeCo3, a crystal structure in Alexandria, relaxed with PBE gives the calculated XRD peak list in this record (Cu Kα (λ = 1.5418 Å)).

Atomic structure:
Unit cell a=5.1880 b=5.1880 c=7.8671 alpha=90.00 beta=90.00 gamma=120.00
Space group P6_3/mmc (No. 194)
Unique sites:
Ce 0.3333 0.6667 0.0631
Fe 0.0000 0.0000 0.0000
Co 0.1641 0.3282 0.7500

Main lines, most intense first (2θ from 10° to 90°):
2theta  intensity  h k l
41.71  100  1 1 2
39.80  87  1 0 3
34.58  64  1 1 0
41.82  64  2 0 1
65.48  41  2 1 3
73.48  26  2 0 5
72.94  24  2 2 0
66.84  24  3 0 2
86.46  18  3 1 3
40.14  17  2 0 0

=====

No. 2
For Ce6In2FeCo, a crystal structure in Alexandria, relaxed with PBE gives the calculated XRD peak list in this record (Cu Kα (λ = 1.5418 Å)).

Atomic structure:
Unit cell a=7.2516 b=7.2516 c=10.1960 alpha=90.00 beta=90.00 gamma=90.00
Space group I4/mmm (No. 139)
Unique sites:
Ce 0.0000 0.0000 0.2366
Ce 0.2458 0.2458 0.5000
In 0.0000 0.5000 0.2500
Fe 0.0000 0.0000 0.0000
Co 0.0000 0.0000 0.5000

Main lines, most intense first (2θ from 10° to 90°):
2theta  intensity  h k l
30.25  100  2 0 2
35.00  54  2 2 0
50.49  37  2 2 4
59.86  29  4 2 2
35.21  26  0 0 4
50.33  19  4 0 0
62.91  19  4 0 4
60.13  13  2 0 6
82.17  11  4 2 6
84.50  8  6 2 0

=====

No. 3
For CeFeCo2P2, a crystal structure in Alexandria, relaxed with PBE gives the calculated XRD peak list in this record (Cu Kα (λ = 1.5418 Å)).

Atomic structure:
Unit cell a=4.3315 b=4.3315 c=4.8234 alpha=90.00 beta=90.00 gamma=90.00
Space group P4/mmm (No. 123)
Unique sites:
Ce 0.0000 0.0000 0.0000
Fe 0.0000 0.0000 0.5000
Co 0.5000 0.5000 0.2494
P 0.0000 0.5000 0.5000

Main lines, most intense first (2θ from 10° to 90°):
2theta  intensity  h k l
42.92  100  1 0 2
29.16  96  1 1 0
41.70  77  2 0 0
61.39  66  2 1 2
34.69  35  1 1 1
60.45  24  2 2 0
27.68  20  1 0 1
20.50  18  1 0 0
76.97  16  3 0 2
68.50  15  3 1 0

=====

No. 4
For CeFeCoSi2, a crystal structure in Alexandria, relaxed with PBE gives the calculated XRD peak list in this record (Cu Kα (λ = 1.5418 Å)).

Atomic structure:
Unit cell a=3.9652 b=3.9652 c=9.6606 alpha=90.00 beta=90.00 gamma=90.00
Space group I-4m2 (No. 119)
Unique sites:
Ce 0.0000 0.0000 0.0000
Fe 0.0000 0.5000 0.7500
Co 0.0000 0.5000 0.2500
Si 0.0000 0.0000 0.3674

Main lines, most intense first (2θ from 10° to 90°):
2theta  intensity  h k l
37.07  100  1 1 2
35.93  57  1 0 3
24.26  46  1 0 1
45.77  42  2 0 0
78.89  27  3 1 2
59.51  26  2 1 3
67.03  19  1 1 6
37.23  16  0 0 4
52.70  16  1 0 5
60.41  15  2 0 4

=====

Please write out number 3 again, unchanged.
For CeFeCo2P2, a crystal structure in Alexandria, relaxed with PBE gives the calculated XRD peak list in this record (Cu Kα (λ = 1.5418 Å)).

Atomic structure:
Unit cell a=4.3315 b=4.3315 c=4.8234 alpha=90.00 beta=90.00 gamma=90.00
Space group P4/mmm (No. 123)
Unique sites:
Ce 0.0000 0.0000 0.0000
Fe 0.0000 0.0000 0.5000
Co 0.5000 0.5000 0.2494
P 0.0000 0.5000 0.5000

Main lines, most intense first (2θ from 10° to 90°):
2theta  intensity  h k l
42.92  100  1 0 2
29.16  96  1 1 0
41.70  77  2 0 0
61.39  66  2 1 2
34.69  35  1 1 1
60.45  24  2 2 0
27.68  20  1 0 1
20.50  18  1 0 0
76.97  16  3 0 2
68.50  15  3 1 0